# Cu2AgO4
Computed powder X-ray diffraction pattern, copper Kα. Input: a cell relaxed with GGA-PBE.
No peak broadening, texture or thermal motion is included.

Most intense lines, 5 to 70 degrees two-theta, by angle:
2θ/deg	Rel. int.
27.61	67
28.62	100
32.13	23
36.95	98
43.23	41
54.57	17
57.01	55
60.47	28

```
data_Cu2AgO4
_space_group_name_H-M_alt 'I 41/a m d'
_space_group_IT_number 141
_cell_length_a 5.571
_cell_length_b 5.571
_cell_length_c 11.292
_cell_angle_alpha 90.00
_cell_angle_beta 90.00
_cell_angle_gamma 90.00
loop_
_space_group_symop_operation_xyz
'x,y,z'
'-x,-y,-z'
'-y+1/4,x+3/4,z+1/4'
'y+1/4,-x+3/4,-z+1/4'
'-x+1/2,-y,z+1/2'
'x+1/2,y,-z+1/2'
'y+1/4,-x+1/4,z+3/4'
'-y+1/4,x+1/4,-z+3/4'
'x,-y,-z'
'-x,y,z'
'-y+1/4,-x+1/4,-z+3/4'
'y+1/4,x+1/4,z+3/4'
'-x+1/2,y,-z+1/2'
'x+1/2,-y,z+1/2'
'y+1/4,x+3/4,-z+1/4'
'-y+1/4,-x+3/4,z+1/4'
'x+1/2,y+1/2,z+1/2'
'-x+1/2,-y+1/2,-z+1/2'
'-y+3/4,x+1/4,z+3/4'
'y+3/4,-x+1/4,-z+3/4'
'-x,-y+1/2,z'
'x,y+1/2,-z'
'y+3/4,-x+3/4,z+1/4'
'-y+3/4,x+3/4,-z+1/4'
'x+1/2,-y+1/2,-z+1/2'
'-x+1/2,y+1/2,z+1/2'
'-y+3/4,-x+3/4,-z+1/4'
'y+3/4,x+3/4,z+1/4'
'-x,y+1/2,-z'
'x,-y+1/2,z'
'y+3/4,x+1/4,-z+3/4'
'-y+3/4,-x+1/4,z+3/4'
loop_
_atom_site_label
_atom_site_fract_x
_atom_site_fract_y
_atom_site_fract_z
_atom_site_occupancy
Cu1 0.000 0.000 0.000 1
Ag1 0.000 0.250 0.375 1
O1 0.000 0.031 0.763 1
```